Entry 1:
Diffraction record for GdScS2I2. The XRD peak list is calculated, not measured: it uses a structure optimized by DFT (GGA-PBE) and Cu Ka.
Neutral-atom scattering factors, no anomalous dispersion.

Atomic structure:
Cell lengths 4.0680, 5.2536, 9.5815 Å; angles 90.00, 90.00, 90.00 degrees
Sites, in units of the cell vectors:
Gd1 0.0000 0.0000 0.0000
Sc1 0.5000 0.5000 0.7689
S1 0.0000 0.5000 0.9382
S2 0.5000 0.0000 0.8061
I1 0.0000 0.5000 0.5502
I2 0.5000 0.0000 0.2397

Principal peaks in the range 15 to 90 degrees two-theta, by angle:
| (hkl) | two_theta | intensity |
| --- | --- | --- |
| 0 1 1 | 19.27 | 100 |
| 1 0 2 | 28.79 | 84 |
| 1 1 1 | 29.29 | 42 |
| 0 2 0 | 34.13 | 31 |
| 0 0 4 | 37.55 | 13 |
| 1 1 3 | 39.77 | 43 |
| 2 0 0 | 44.55 | 14 |
| 1 2 2 | 45.24 | 47 |
| 2 1 1 | 48.95 | 17 |
| 0 1 5 | 50.71 | 11 |
| 2 2 0 | 57.29 | 14 |
| 1 3 3 | 64.91 | 13 |

Entry 2:
Diffraction record for Lu4AlB3. The XRD peak list is calculated, not measured: it uses a structure optimized by DFT (GGA-PBE) and Cu Ka.
Neutral-atom scattering factors, no anomalous dispersion.

Atomic structure:
Cell lengths 3.4530, 3.4530, 29.7985 Å; angles 90.00, 90.00, 120.00 degrees
Sites, in units of the cell vectors:
Lu1 0.0000 0.0000 0.1656
Lu2 0.0000 0.0000 0.3344
Lu3 0.0000 0.0000 0.6656
Lu4 0.0000 0.0000 0.8344
Lu5 0.3333 0.6667 0.0559
Lu6 0.3333 0.6667 0.4441
Lu7 0.6667 0.3333 0.5559
Lu8 0.6667 0.3333 0.9441
Al1 0.3333 0.6667 0.2500
Al2 0.6667 0.3333 0.7500
B1 0.0000 0.0000 0.0000
B2 0.0000 0.0000 0.5000
B3 0.3333 0.6667 0.6141
B4 0.3333 0.6667 0.8859
B5 0.6667 0.3333 0.1141
B6 0.6667 0.3333 0.3859

Principal peaks in the range 15 to 90 degrees two-theta, by angle:
| (hkl) | two_theta | intensity |
| --- | --- | --- |
| 0 0 8 | 23.89 | 39 |
| 0 0 10 | 30.00 | 42 |
| 1 0 2 | 30.49 | 54 |
| 1 0 3 | 31.24 | 32 |
| 1 0 4 | 32.26 | 25 |
| 1 0 5 | 33.53 | 56 |
| 1 0 6 | 35.03 | 100 |
| 1 0 12 | 47.60 | 37 |
| 1 1 0 | 53.04 | 40 |
| 1 1 8 | 58.96 | 21 |
| 1 1 10 | 62.13 | 28 |
| 1 1 18 | 80.36 | 24 |

Entry 3:
Diffraction record for La2Ag2SeSO2. The XRD peak list is calculated, not measured: it uses a structure optimized by DFT (GGA-PBE) and Cu Ka.
Neutral-atom scattering factors, no anomalous dispersion.

Atomic structure:
Cell lengths 4.1081, 4.1081, 9.1982 Å; angles 90.00, 90.00, 90.00 degrees
Sites, in units of the cell vectors:
La1 0.0000 0.0000 0.0000
La2 0.5000 0.5000 0.2646
Ag1 0.0000 0.5000 0.6464
Ag2 0.5000 0.0000 0.6464
Se1 0.0000 0.0000 0.4420
S1 0.5000 0.5000 0.8345
O1 0.0000 0.5000 0.1328
O2 0.5000 0.0000 0.1328

Principal peaks in the range 15 to 90 degrees two-theta, by angle:
| (hkl) | two_theta | intensity |
| --- | --- | --- |
| 1 0 1 | 23.72 | 11 |
| 1 0 2 | 29.14 | 100 |
| 1 1 1 | 32.32 | 61 |
| 1 1 2 | 36.58 | 71 |
| 2 0 0 | 44.09 | 45 |
| 1 1 4 | 50.63 | 38 |
| 2 1 2 | 53.72 | 42 |
| 2 2 0 | 64.12 | 14 |
| 2 0 5 | 68.47 | 11 |
| 3 1 1 | 73.64 | 11 |
| 3 1 2 | 76.13 | 15 |
| 3 1 4 | 85.93 | 16 |